Diffraction record for Dy4Ag2Hg3. The powder diffractogram is computed, not measured: it uses a structure optimized by DFT (GGA-PBE) and Cu Kα.
Intensities are scaled so that the largest is 100.

Principal peaks in the range 2θ = 10–90°, low angle first:
two_theta  I (rel.)
34.21  100
35.16  94
49.88  35
60.64  18
62.49  35
63.10  17
72.07  11
74.34  11
82.77  10
84.40  10

Atomic structure:
a b c (Å): 5.103 5.103 9.764
angles (deg): 90.06 90.06 60.04
Atoms (fractional coordinates):
Dy 0.000 0.000 0.170
Dy 0.000 0.000 0.830
Dy 0.333 0.333 0.388
Dy 0.667 0.667 0.612
Ag 0.334 0.334 0.706
Ag 0.666 0.666 0.294
Hg 0.000 0.000 0.500
Hg 0.333 0.333 0.053
Hg 0.667 0.667 0.947

---

Diffraction record for PaPt2Rh2. The powder diffractogram is computed, not measured: it uses a structure optimized by DFT (GGA-PBE) and Cu Kα.
Intensities are scaled so that the largest is 100.

Principal peaks in the range 2θ = 10–90°, low angle first:
two_theta  I (rel.)
16.71  15
22.53  28
34.04  46
39.55  100
41.00  48
52.98  22
58.28  17
71.75  18
72.73  18
84.54  21

Atomic structure:
a b c (Å): 4.557 4.557 10.609
angles (deg): 90.00 90.00 120.00
Atoms (fractional coordinates):
Pa 0.000 0.000 0.250
Pa 0.000 0.000 0.750
Pt 0.000 0.000 0.000
Pt 0.000 0.000 0.500
Pt 0.333 0.667 0.250
Pt 0.667 0.333 0.750
Rh 0.333 0.667 0.612
Rh 0.333 0.667 0.888
Rh 0.667 0.333 0.112
Rh 0.667 0.333 0.388

---

Diffraction record for Tm2ThCu9. The powder diffractogram is computed, not measured: it uses a structure optimized by DFT (GGA-PBE) and Cu Kα.
Intensities are scaled so that the largest is 100.

Principal peaks in the range 2θ = 10–90°, low angle first:
two_theta  I (rel.)
33.70  65
34.46  53
40.39  35
41.03  100
43.40  21
43.99  13
61.26  24
65.74  17
66.21  23
72.67  20

Atomic structure:
a b c (Å): 5.205 5.205 16.467
angles (deg): 90.00 90.00 120.00
Atoms (fractional coordinates):
Tm 0.333 0.667 0.036
Tm 0.333 0.667 0.464
Tm 0.667 0.333 0.536
Tm 0.667 0.333 0.964
Th 0.333 0.667 0.250
Th 0.667 0.333 0.750
Cu 0.000 0.000 0.000
Cu 0.000 0.000 0.250
Cu 0.000 0.000 0.500
Cu 0.000 0.000 0.750
Cu 0.167 0.334 0.625
Cu 0.167 0.334 0.875
Cu 0.167 0.833 0.625
Cu 0.167 0.833 0.875
Cu 0.333 0.667 0.750
Cu 0.334 0.167 0.125
Cu 0.334 0.167 0.375
Cu 0.666 0.833 0.625
Cu 0.666 0.833 0.875
Cu 0.667 0.333 0.250
Cu 0.833 0.167 0.125
Cu 0.833 0.167 0.375
Cu 0.833 0.666 0.125
Cu 0.833 0.666 0.375

---

Diffraction record for PmY5Ir6. The powder diffractogram is computed, not measured: it uses a structure optimized by DFT (GGA-PBE) and Cu Kα.
Intensities are scaled so that the largest is 100.

Principal peaks in the range 2θ = 10–90°, low angle first:
two_theta  I (rel.)
25.31  11
36.24  100
37.11  94
37.25  93
51.97  18
52.39  17
54.98  15
65.67  35
65.94  35
67.64  32

Atomic structure:
a b c (Å): 4.957 6.680 7.823
angles (deg): 90.00 108.04 90.00
Atoms (fractional coordinates):
Pm 0.000 0.000 0.000
Y 0.000 0.500 0.000
Y 0.333 0.000 0.665
Y 0.333 0.500 0.666
Y 0.667 0.000 0.335
Y 0.667 0.500 0.334
Ir 0.168 0.251 0.336
Ir 0.168 0.749 0.336
Ir 0.500 0.254 0.000
Ir 0.500 0.746 0.000
Ir 0.832 0.251 0.664
Ir 0.832 0.749 0.664